Record 1
# RbNaVO4
Computed powder diffractogram, λ = 1.5418 Å (Cu Kα). Input: DFT lattice parameters and positions (GGA+U).

Unit cell a=6.1105 b=6.1105 c=8.9142 alpha=90.00 beta=90.00 gamma=90.00
Sites, in units of the cell vectors:
Rb 0.0000 0.0000 0.0000
Rb 0.5000 0.5000 0.5000
Na 0.0000 0.0000 0.5000
Na 0.5000 0.5000 0.0000
V 0.0000 0.5000 0.7500
V 0.5000 0.0000 0.2500
O 0.1170 0.3012 0.6355
O 0.1988 0.6170 0.8645
O 0.3012 0.8830 0.3645
O 0.3830 0.1988 0.1355
O 0.6170 0.8012 0.1355
O 0.6988 0.1170 0.3645
O 0.8012 0.3830 0.8645
O 0.8830 0.6988 0.6355

Largest 6 diffraction maxima, by angle, 2θ = 5–70°:
two_theta, intensity
17.60, 100.0
28.78, 93.8
29.23, 29.5
34.32, 32.8
50.70, 20.7
51.55, 30.3

Record 2
# RbNa2VO4
Computed powder diffractogram, λ = 1.5418 Å (Cu Kα). Input: DFT lattice parameters and positions (GGA+U).

Unit cell a=5.8571 b=5.8571 c=7.7113 alpha=90.00 beta=90.00 gamma=90.00
Sites, in units of the cell vectors:
Rb 0.0000 0.0000 0.0000
Rb 0.5000 0.5000 0.5000
Na 0.0000 0.5000 0.2500
Na 0.0000 0.5000 0.7500
Na 0.5000 0.0000 0.2500
Na 0.5000 0.0000 0.7500
V 0.0000 0.0000 0.5000
V 0.5000 0.5000 0.0000
O 0.1730 0.1730 0.6306
O 0.1730 0.8270 0.3694
O 0.3270 0.3270 0.1306
O 0.3270 0.6730 0.8694
O 0.6730 0.3270 0.8694
O 0.6730 0.6730 0.1306
O 0.8270 0.1730 0.3694
O 0.8270 0.8270 0.6306

Largest 6 diffraction maxima, by angle, 2θ = 5–70°:
two_theta, intensity
21.46, 39.5
30.52, 32.3
31.71, 100.0
43.71, 22.6
55.00, 36.6
57.21, 21.7

Record 3
# RbNa3V4O12
Computed powder diffractogram, λ = 1.5418 Å (Cu Kα). Input: DFT lattice parameters and positions (GGA+U).

Unit cell a=7.4693 b=7.4693 c=7.4693 alpha=110.55 beta=110.55 gamma=110.55
Sites, in units of the cell vectors:
Rb 0.0000 0.0000 0.0000
Na 0.0000 0.5722 0.4278
Na 0.4278 0.0000 0.5722
Na 0.5722 0.4278 0.0000
V 0.0771 0.5000 0.9229
V 0.5000 0.5000 0.5000
V 0.5000 0.9229 0.0771
V 0.9229 0.0771 0.5000
O 0.0600 0.9400 0.5000
O 0.1037 0.6464 0.7892
O 0.2108 0.3536 0.8963
O 0.3536 0.8963 0.2108
O 0.3632 0.6368 0.5000
O 0.5000 0.0600 0.9400
O 0.5000 0.3632 0.6368
O 0.6368 0.5000 0.3632
O 0.6464 0.7892 0.1037
O 0.7892 0.1037 0.6464
O 0.8963 0.2108 0.3536
O 0.9400 0.5000 0.0600

Largest 6 diffraction maxima, by angle, 2θ = 5–70°:
two_theta, intensity
25.12, 47.4
25.50, 46.9
29.09, 45.2
30.39, 100.0
32.91, 32.5
53.84, 38.9

Record 4
# Rb3NaW2O8
Computed powder diffractogram, λ = 1.5418 Å (Cu Kα). Input: DFT lattice parameters and positions (GGA+U).

Unit cell a=6.3083 b=6.3083 c=8.0659 alpha=90.00 beta=90.00 gamma=120.00
Sites, in units of the cell vectors:
Rb 0.0000 0.0000 0.0000
Rb 0.3333 0.6667 0.6632
Rb 0.6667 0.3333 0.3368
Na 0.0000 0.0000 0.5000
W 0.3333 0.6667 0.2238
W 0.6667 0.3333 0.7762
O 0.1776 0.3552 0.3051
O 0.1776 0.8224 0.3051
O 0.3333 0.6667 0.9995
O 0.3552 0.1776 0.6949
O 0.6448 0.8224 0.3051
O 0.6667 0.3333 0.0005
O 0.8224 0.1776 0.6949
O 0.8224 0.6448 0.6949

Largest 6 diffraction maxima, by angle, 2θ = 5–70°:
two_theta, intensity
16.22, 23.9
19.63, 56.1
27.49, 68.4
28.29, 100.0
39.86, 37.7
49.60, 26.4